For MnCu7Au12, a structure optimized by DFT (GGA-PBE) gives the computed XRD peak list in this record (Cu Kα).
Kinematic intensities with the Lorentz-polarization factor, no thermal factor.

Atomic structure:
Cell lengths 7.3114, 7.3114, 7.3114 Å; angles 106.88, 106.88, 106.88 degrees
Element x y z (fractional)
1 Mn 0.0000 0.0000 0.0000
2 Cu 0.0172 0.9019 0.3313
3 Cu 0.0981 0.6687 0.9828
4 Cu 0.3313 0.0172 0.9019
5 Cu 0.5000 0.5000 0.5000
6 Cu 0.6687 0.9828 0.0981
7 Cu 0.9019 0.3313 0.0172
8 Cu 0.9828 0.0981 0.6687
9 Au 0.0330 0.2793 0.3836
10 Au 0.2255 0.6655 0.3643
11 Au 0.2793 0.3836 0.0330
12 Au 0.3345 0.6357 0.7745
13 Au 0.3643 0.2255 0.6655
14 Au 0.3836 0.0330 0.2793
15 Au 0.6164 0.9670 0.7207
16 Au 0.6357 0.7745 0.3345
17 Au 0.6655 0.3643 0.2255
18 Au 0.7207 0.6164 0.9670
19 Au 0.7745 0.3345 0.6357
20 Au 0.9670 0.7207 0.6164

Peak list (10 most intense, 10° ≤ 2θ ≤ 90°, in order of falling intensity)
2θ 40.65, rel. 100
2θ 42.48, rel. 55
2θ 36.25, rel. 43
2θ 45.33, rel. 40
2θ 31.91, rel. 29
2θ 33.59, rel. 24
2θ 66.87, rel. 22
2θ 82.97, rel. 20
2θ 26.28, rel. 17
2θ 37.01, rel. 16